Diffraction record for LiNiO2. The PXRD pattern is calculated, not measured: it uses a DFT-relaxed cell (GGA+U, the Materials Project) and Cu Kα (λ = 1.5418 Å).

Structure:
```
data_LiNiO2
_cell_length_a 4.992
_cell_length_b 5.814
_cell_length_c 6.506
_cell_angle_alpha 102.98
_cell_angle_beta 97.64
_cell_angle_gamma 105.76
_space_group_name_H-M_alt 'P -1'
_space_group_IT_number 2
loop_
_space_group_symop_operation_xyz
'x,y,z'
'-x,-y,-z'
loop_
_atom_site_label
_atom_site_type_symbol
_atom_site_fract_x
_atom_site_fract_y
_atom_site_fract_z
Li1 Li 0.000 0.000 0.000
Li2 Li 0.202 0.399 0.397
Li3 Li 0.395 0.795 0.797
Ni1 Ni 0.000 0.500 0.000
Ni2 Ni 0.199 0.899 0.400
Ni3 Ni 0.401 0.302 0.800
O1 O 0.090 0.961 0.681
O2 O 0.095 0.449 0.723
O3 O 0.278 0.824 0.105
O4 O 0.285 0.363 0.090
O5 O 0.487 0.766 0.496
```

Most intense lines, 5 to 70 degrees two-theta, in order of rising 2θ:
| 2theta | I/Imax |
| --- | --- |
| 18.64 | 100 |
| 36.04 | 16 |
| 36.32 | 14 |
| 36.64 | 13 |
| 38.03 | 11 |
| 43.66 | 25 |
| 44.05 | 24 |
| 44.58 | 23 |
| 48.35 | 9 |
| 64.25 | 13 |